# 1
The following is a computed powder XRD pattern of KVBP2HO9. It was derived from a DFT-relaxed cell (GGA+U, the Materials Project), using λ = 1.5418 Å (Cu Kα).
Neutral-atom scattering factors, no anomalous dispersion.

Structural model:
```
data_KVBP2HO9
_cell_length_a 5.2463
_cell_length_b 11.5120
_cell_length_c 12.1285
_cell_angle_alpha 88.19
_cell_angle_beta 80.76
_cell_angle_gamma 85.50
_symmetry_space_group_name_H-M 'P -1'
_symmetry_Int_Tables_number 2
loop_
_symmetry_equiv_pos_as_xyz
'x,y,z'
'-x,-y,-z'
loop_
_atom_site_label
_atom_site_fract_x
_atom_site_fract_y
_atom_site_fract_z
_atom_site_occupancy
K1 0.2210 0.1432 0.4688 1
K2 0.2217 0.6432 0.9685 1
V1 0.2326 0.9453 0.7492 1
V2 0.2335 0.4452 0.2496 1
B1 0.3749 0.1610 0.8939 1
B2 0.3761 0.6608 0.3932 1
P1 0.2829 0.6885 0.6240 1
P2 0.2835 0.1886 0.1248 1
P3 0.3013 0.3894 0.8078 1
P4 0.3027 0.8893 0.3072 1
H1 0.0296 0.0814 0.9149 1
H2 0.0312 0.5806 0.4149 1
O1 0.0111 0.6421 0.6360 1
O2 0.0119 0.1420 0.1369 1
O3 0.0523 0.4691 0.8246 1
O4 0.0539 0.9691 0.3243 1
O5 0.2056 0.0689 0.8746 1
O6 0.2063 0.5689 0.3736 1
O7 0.2308 0.2758 0.8767 1
O8 0.2323 0.7757 0.3761 1
O9 0.2579 0.3233 0.1284 1
O10 0.2578 0.8232 0.6273 1
O11 0.3755 0.3561 0.6817 1
O12 0.3766 0.8561 0.1811 1
O13 0.4403 0.6344 0.7106 1
O14 0.4423 0.1350 0.2110 1
O15 0.4418 0.1551 0.0067 1
O16 0.4417 0.6544 0.5061 1
O17 0.4730 0.0567 0.6501 1
O18 0.4747 0.5561 0.1498 1
```

Main lines, in order of rising 2θ (10 to 80 degrees two-theta):
h k l	2θ (°)	I (rel.)
0 0 2	14.80	100
0 2 2	21.25	96
1 -2 2	27.00	91
1 -1 3	27.62	85
1 2 -2	28.53	93
1 1 -3	31.19	91
0 2 4	33.51	53
1 4 0	34.62	59


# 2
The following is a computed powder XRD pattern of SrLa2Co3O9. It was derived from a DFT-relaxed cell (GGA+U, the Materials Project), using λ = 1.5418 Å (Cu Kα).
Neutral-atom scattering factors, no anomalous dispersion.

Structural model:
```
data_SrLa2Co3O9
_cell_length_a 5.4768
_cell_length_b 5.5169
_cell_length_c 6.6973
_cell_angle_alpha 89.10
_cell_angle_beta 89.59
_cell_angle_gamma 60.25
_symmetry_space_group_name_H-M 'P 1'
_symmetry_Int_Tables_number 1
loop_
_symmetry_equiv_pos_as_xyz
'x,y,z'
loop_
_atom_site_label
_atom_site_fract_x
_atom_site_fract_y
_atom_site_fract_z
_atom_site_occupancy
Sr1 0.0000 0.0000 0.0000 1
La1 0.3314 0.3330 0.6686 1
La2 0.6687 0.6656 0.3380 1
Co1 0.9996 0.9999 0.4984 1
Co2 0.3349 0.3333 0.1661 1
Co3 0.6660 0.6647 0.8399 1
O1 0.0115 0.4974 0.9991 1
O2 0.1743 0.1750 0.3395 1
O3 0.1738 0.6542 0.3364 1
O4 0.3278 0.8258 0.6549 1
O5 0.4982 0.0106 0.0003 1
O6 0.5032 0.5037 0.9998 1
O7 0.6636 0.1673 0.3374 1
O8 0.8185 0.8244 0.6600 1
O9 0.8212 0.3383 0.6552 1
```

Main lines, in order of rising 2θ (10 to 80 degrees two-theta):
h k l	2θ (°)	I (rel.)
1 2 0	32.47	100
2 1 0	32.70	66
0 1 -2	32.85	32
0 2 -1	40.13	15
0 2 2	46.30	23
2 0 2	46.88	22
2 2 -2	47.18	22
3 2 2	58.15	19


# 3
The following is a computed powder XRD pattern of MgV2O2F4. It was derived from a DFT-relaxed cell (GGA+U, the Materials Project), using λ = 1.5418 Å (Cu Kα).
Neutral-atom scattering factors, no anomalous dispersion.

Structural model:
```
data_MgV2O2F4
_cell_length_a 5.1901
_cell_length_b 5.2083
_cell_length_c 5.4833
_cell_angle_alpha 115.01
_cell_angle_beta 93.83
_cell_angle_gamma 117.59
_symmetry_space_group_name_H-M 'P 1'
_symmetry_Int_Tables_number 1
loop_
_symmetry_equiv_pos_as_xyz
'x,y,z'
loop_
_atom_site_label
_atom_site_fract_x
_atom_site_fract_y
_atom_site_fract_z
_atom_site_occupancy
Mg1 0.0000 0.0000 0.0000 1
V1 0.3172 0.6283 0.9093 1
V2 0.8186 0.6283 0.3977 1
O1 0.7024 0.7618 0.1555 1
O2 0.9899 0.5891 0.6931 1
F1 0.0627 0.4636 0.1559 1
F2 0.1737 0.1402 0.6932 1
F3 0.4265 0.1356 0.1794 1
F4 0.5969 0.7770 0.6781 1
```

Main lines, in order of rising 2θ (10 to 80 degrees two-theta):
h k l	2θ (°)	I (rel.)
0 1 0	22.44	100
1 0 -1	22.89	90
1 -1 1	24.50	89
-1 1 1	31.24	37
1 0 1	32.32	36
0 1 -2	32.88	39
-1 2 1	50.41	38
1 1 1	51.06	42